No. 1
Starting from a GGA-PBE-relaxed structure, the X-ray diffraction stick pattern of BaHRh was calculated for Cu Ka.
Neutral-atom scattering factors, no anomalous dispersion.

Atomic structure:
```
data_BaHRh
_chemical_formula_sum 'Ba2 H2 Rh2'
_cell_length_a 5.751
_cell_length_b 5.748
_cell_length_c 3.547
_cell_angle_alpha 90.00
_cell_angle_beta 90.13
_cell_angle_gamma 90.00
_space_group_name_H-M_alt 'C 1 2/m 1'
_space_group_IT_number 12
_space_group_name_Hall '-C 2y'
loop_
_atom_site_label
_atom_site_fract_x
_atom_site_fract_y
_atom_site_fract_z
Ba1 0.000 0.000 0.000
H1 0.000 0.500 0.000
Rh1 0.000 0.500 0.500
```

The 8 most intense peaks (10 to 90 degrees two-theta), sorted by position:
hkl  2θ (°)  Rel. int.
2 0 0  31.1  63
1 1 1  33.5  100
2 2 0  44.6  23
1 3 1  56.9  32
3 1 1  57.0  11
0 2 2  61.4  13
4 2 0  73.7  10
3 3 1  75.0  10

=====

No. 2
Starting from a GGA-PBE-relaxed structure, the X-ray diffraction stick pattern of Ca3Ir2N4 was calculated for Cu Ka.
Neutral-atom scattering factors, no anomalous dispersion.

Atomic structure:
```
data_Ca3Ir2N4
_chemical_formula_sum 'Ca12 Ir8 N16'
_cell_length_a 10.840
_cell_length_b 9.087
_cell_length_c 5.344
_cell_angle_alpha 90.00
_cell_angle_beta 91.52
_cell_angle_gamma 90.00
_space_group_name_H-M_alt 'C 1 2/c 1'
_space_group_IT_number 15
_space_group_name_Hall '-C 2yc'
loop_
_atom_site_label
_atom_site_fract_x
_atom_site_fract_y
_atom_site_fract_z
Ca1 0.000 0.091 0.250
Ca2 0.119 0.341 0.554
Ir1 0.236 0.113 0.915
N1 0.100 0.316 0.029
N2 0.160 0.072 0.566
```

The 8 most intense peaks (10 to 90 degrees two-theta), sorted by position:
hkl  2θ (°)  Rel. int.
2 0 0  16.4  100
1 1 -1  20.8  33
1 1 1  21.1  29
2 2 1  30.9  43
3 1 -1  31.1  39
1 1 -2  35.8  26
3 3 -1  42.2  26
4 2 1  42.7  22

=====

No. 3
Starting from a GGA-PBE-relaxed structure, the X-ray diffraction stick pattern of LaTbSmEu was calculated for Cu Ka.
Neutral-atom scattering factors, no anomalous dispersion.

Atomic structure:
```
data_LaTbSmEu
_chemical_formula_sum 'La4 Tb4 Sm4 Eu4'
_cell_length_a 8.303
_cell_length_b 8.303
_cell_length_c 8.303
_cell_angle_alpha 90.00
_cell_angle_beta 90.00
_cell_angle_gamma 90.00
_space_group_name_H-M_alt 'F -4 3 m'
_space_group_IT_number 216
_space_group_name_Hall 'F -4 2 3'
loop_
_atom_site_label
_atom_site_fract_x
_atom_site_fract_y
_atom_site_fract_z
La1 0.000 0.000 0.000
Tb1 0.250 0.250 0.250
Sm1 0.000 0.000 0.500
Eu1 0.250 0.250 0.750
```

The 7 most intense peaks (10 to 90 degrees two-theta), sorted by position:
hkl  2θ (°)  Rel. int.
2 2 0  30.5  100
4 0 0  43.6  19
4 2 2  54.1  40
4 4 0  63.4  12
6 2 0  71.9  17
4 4 4  80.1  4
6 4 2  88.0  21

=====

No. 4
Starting from a GGA-PBE-relaxed structure, the X-ray diffraction stick pattern of SmBiIO6 was calculated for Cu Ka.
Neutral-atom scattering factors, no anomalous dispersion.

Atomic structure:
```
data_SmBiIO6
_chemical_formula_sum 'Sm2 Bi2 I2 O12'
_cell_length_a 5.7702
_cell_length_b 5.7702
_cell_length_c 9.6360
_cell_angle_alpha 90.00
_cell_angle_beta 90.00
_cell_angle_gamma 120.00
_space_group_name_H-M_alt 'P -3 1 c'
_space_group_IT_number 163
_space_group_name_Hall '-P 3 2c'
loop_
_atom_site_label
_atom_site_fract_x
_atom_site_fract_y
_atom_site_fract_z
Sm1 0.3333 0.6667 0.2500
Bi1 0.0000 0.0000 0.0000
I1 0.3333 0.6667 0.7500
O1 0.0429 0.3722 0.6340
```

The 8 most intense peaks (10 to 90 degrees two-theta), sorted by position:
hkl  2θ (°)  Rel. int.
1 0 2  25.7  100
1 1 0  31.0  49
2 0 2  40.7  30
1 1 4  49.3  40
2 1 2  52.0  30
3 0 0  55.1  16
4 -1 2  70.7  12
4 -2 4  77.1  10